Calculated powder X-ray diffraction pattern
Compound: AgAuN4
Radiation: λ = 1.5418 Å (Cu Kα)
Structure: a structure optimized by DFT (GGA-PBE)
Intensities are scaled so that the largest is 100.

Peak list (10 most intense, 2θ from 10° to 90°, in order of rising 2θ)
| d (Å) | I_rel |
| --- | --- |
| 6.563 | 19 |
| 4.064 | 86 |
| 3.282 | 44 |
| 2.762 | 83 |
| 2.559 | 42 |
| 2.548 | 41 |
| 2.284 | 100 |
| 1.777 | 24 |
| 1.639 | 29 |
| 1.635 | 17 |

```
12
Lattice="7.705 0.000 0.000 0.000 3.045 0.000 -4.258 0.000 6.924" Properties=species:S:1:pos:R:3 pbc="T T T"
Ag -1.065 0.051 1.731
Ag -3.194 2.994 5.193
Au 3.853 1.522 0.000
Au 1.723 1.522 3.462
N -1.142 1.022 4.777
N 0.987 2.023 1.315
N -0.523 1.026 3.777
N 1.606 2.018 0.315
N 1.841 1.026 6.609
N 3.970 2.018 3.147
N 2.460 1.022 5.609
N 4.589 2.023 2.147
```

---

Calculated powder X-ray diffraction pattern
Compound: Cs2ZnPdCl6
Radiation: λ = 1.5418 Å (Cu Kα)
Structure: a structure optimized by DFT (GGA-PBE)
Intensities are scaled so that the largest is 100.

Peak list (10 most intense, 2θ from 10° to 90°, in order of rising 2θ)
| d (Å) | I_rel |
| --- | --- |
| 3.744 | 100 |
| 3.676 | 45 |
| 3.038 | 31 |
| 2.697 | 27 |
| 2.600 | 53 |
| 2.175 | 17 |
| 2.135 | 41 |
| 1.872 | 33 |
| 1.838 | 17 |
| 1.423 | 16 |

```
10
Lattice="-3.676 3.676 5.395 3.676 -3.676 5.395 3.676 3.676 -5.395" Properties=species:S:1:pos:R:3 pbc="T T T"
Cs 3.676 0.000 2.697
Cs 0.000 3.676 2.697
Zn 0.000 0.000 0.000
Pd 0.000 0.000 5.395
Cl 0.000 0.000 2.169
Cl 2.017 2.017 0.000
Cl 1.660 -1.660 5.395
Cl -1.660 1.660 5.395
Cl 1.660 1.660 5.395
Cl 0.000 0.000 8.621
```

---

Calculated powder X-ray diffraction pattern
Compound: CsTbHgS3
Radiation: λ = 1.5418 Å (Cu Kα)
Structure: a structure optimized by DFT (GGA-PBE)
Intensities are scaled so that the largest is 100.

Peak list (10 most intense, 2θ from 10° to 90°, in order of rising 2θ)
| d (Å) | I_rel |
| --- | --- |
| 7.891 | 100 |
| 3.946 | 47 |
| 3.322 | 37 |
| 3.226 | 23 |
| 3.176 | 23 |
| 3.052 | 29 |
| 2.959 | 41 |
| 2.729 | 33 |
| 2.675 | 36 |
| 2.655 | 22 |

```
12
Lattice="8.964 0.000 0.000 0.000 4.178 0.000 -3.696 0.000 9.777" Properties=species:S:1:pos:R:3 pbc="T T T"
Cs 1.191 1.045 2.558
Cs 4.076 3.134 7.220
Tb -0.291 3.134 8.500
Tb 5.558 1.045 1.278
Hg -1.481 1.045 6.071
Hg 6.748 3.134 3.706
S -2.196 1.045 8.470
S -0.043 3.134 5.480
S 3.744 3.134 1.369
S 1.523 1.045 8.408
S 5.310 1.045 4.298
S 7.463 3.134 1.308
```